[1]
Starting from a cell relaxed with GGA-PBE, the X-ray powder pattern of Na2LiNdCl6 was simulated for Cu Kα X-rays.

The 12 most intense peaks (2θ = 10–90°), by angle:
d (Å)	Position (°2θ)	I_rel
6.233	14.2	32
5.752	15.4	78
5.077	17.5	67
3.698	24.1	32
3.180	28.1	22
3.045	29.3	100
2.538	35.4	30
2.325	38.7	64
2.268	39.7	21
2.053	44.1	21
2.015	45.0	40
1.786	51.2	28

Cell and atoms:
```
data_Na2LiNdCl6
_chemical_formula_sum 'Na2 Li1 Nd1 Cl6'
_symmetry_space_group_name_H-M 'P 1'
_symmetry_Int_Tables_number 1
_symmetry_space_group_name_Hall 'P 1'
_cell_length_a 6.979
_cell_length_b 6.980
_cell_length_c 7.419
_cell_angle_alpha 90.02
_cell_angle_beta 118.01
_cell_angle_gamma 119.98
loop_
_atom_site_label
_atom_site_type_symbol
_atom_site_fract_x
_atom_site_fract_y
_atom_site_fract_z
_atom_site_occupancy
Na1 Na 0.000 0.000 0.000 1
Na2 Na 0.006 0.503 0.508 1
Li1 Li 0.585 0.792 0.378 1
Nd1 Nd 0.601 0.301 0.902 1
Cl1 Cl 0.098 0.182 0.679 1
Cl2 Cl 0.113 0.424 0.185 1
Cl3 Cl 0.497 0.073 0.186 1
Cl4 Cl 0.498 0.916 0.679 1
Cl5 Cl 0.761 0.688 0.186 1
Cl6 Cl 0.764 0.582 0.679 1
```

=====

[2]
Starting from a cell relaxed with GGA-PBE, the X-ray powder pattern of PmTcPbO6 was simulated for Cu Kα X-rays.

The 12 most intense peaks (2θ = 10–90°), by angle:
d (Å)	Position (°2θ)	I_rel
3.537	25.2	100
2.848	31.4	43
2.537	35.4	8
2.218	40.7	28
1.895	48.0	38
1.750	52.3	28
1.644	55.9	13
1.600	57.6	10
1.380	67.9	10
1.321	71.4	11
1.253	76.0	9
1.242	76.8	9

Cell and atoms:
```
data_PmTcPbO6
_chemical_formula_sum 'Pm1 Tc1 Pb1 O6'
_symmetry_space_group_name_H-M 'P 1'
_symmetry_Int_Tables_number 1
_symmetry_space_group_name_Hall 'P 1'
_cell_length_a 5.696
_cell_length_b 5.696
_cell_length_c 5.075
_cell_angle_alpha 90.00
_cell_angle_beta 90.00
_cell_angle_gamma 120.00
loop_
_atom_site_label
_atom_site_type_symbol
_atom_site_fract_x
_atom_site_fract_y
_atom_site_fract_z
_atom_site_occupancy
Pm1 Pm 0.000 0.000 0.000 1
Tc1 Tc 0.333 0.667 0.000 1
Pb1 Pb 0.667 0.333 0.500 1
O1 O 0.062 0.386 0.214 1
O2 O 0.062 0.676 0.786 1
O3 O 0.324 0.386 0.786 1
O4 O 0.324 0.938 0.214 1
O5 O 0.614 0.676 0.214 1
O6 O 0.614 0.938 0.786 1
```

=====

[3]
Starting from a cell relaxed with GGA-PBE, the X-ray powder pattern of Na2Al2Si3H4O12 was simulated for Cu Kα X-rays.

The 12 most intense peaks (2θ = 10–90°), by angle:
d (Å)	Position (°2θ)	I_rel
6.612	13.4	67
5.935	14.9	100
4.433	20.0	41
4.401	20.2	53
4.202	21.1	27
3.229	27.6	40
3.193	27.9	48
3.129	28.5	34
2.968	30.1	42
2.897	30.9	72
2.879	31.1	64
1.819	50.1	26

Cell and atoms:
```
data_Na2Al2Si3H4O12
_chemical_formula_sum 'Na4 Al4 Si6 H8 O24'
_symmetry_space_group_name_H-M 'P 1'
_symmetry_Int_Tables_number 1
_symmetry_space_group_name_Hall 'P 1'
_cell_length_a 9.994
_cell_length_b 9.853
_cell_length_c 13.225
_cell_angle_alpha 48.67
_cell_angle_beta 47.76
_cell_angle_gamma 83.57
loop_
_atom_site_label
_atom_site_type_symbol
_atom_site_fract_x
_atom_site_fract_y
_atom_site_fract_z
_atom_site_occupancy
Na1 Na 0.251 0.749 0.311 1
Na2 Na 0.561 0.939 0.501 1
Na3 Na 0.749 0.251 0.689 1
Na4 Na 0.939 0.561 0.999 1
Al1 Al 0.129 0.867 0.558 1
Al2 Al 0.692 0.804 0.121 1
Al3 Al 0.804 0.692 0.383 1
Al4 Al 0.867 0.129 0.446 1
Si1 Si 0.133 0.133 0.867 1
Si2 Si 0.370 0.642 0.551 1
Si3 Si 0.383 0.383 0.117 1
Si4 Si 0.642 0.370 0.437 1
Si5 Si 0.699 0.813 0.880 1
Si6 Si 0.813 0.699 0.608 1
H1 H 0.074 0.261 0.639 1
H2 H 0.223 0.398 0.399 1
H3 H 0.224 0.611 0.989 1
H4 H 0.261 0.074 0.026 1
H5 H 0.271 0.851 0.852 1
H6 H 0.398 0.223 0.979 1
H7 H 0.611 0.224 0.176 1
H8 H 0.851 0.271 0.027 1
O1 O 0.015 0.749 0.554 1
O2 O 0.046 0.956 0.092 1
O3 O 0.107 0.376 0.514 1
O4 O 0.158 0.344 0.204 1
O5 O 0.178 0.366 0.774 1
O6 O 0.244 0.740 0.618 1
O7 O 0.248 0.736 0.874 1
O8 O 0.344 0.158 0.294 1
O9 O 0.366 0.178 0.683 1
O10 O 0.376 0.107 0.002 1
O11 O 0.469 0.752 0.335 1
O12 O 0.476 0.567 0.072 1
O13 O 0.567 0.476 0.884 1
O14 O 0.568 0.696 0.501 1
O15 O 0.632 0.853 0.006 1
O16 O 0.696 0.568 0.235 1
O17 O 0.736 0.248 0.143 1
O18 O 0.740 0.244 0.397 1
O19 O 0.749 0.015 0.682 1
O20 O 0.752 0.469 0.444 1
O21 O 0.806 0.915 0.498 1
O22 O 0.853 0.632 0.510 1
O23 O 0.915 0.806 0.781 1
O24 O 0.956 0.046 0.906 1
```